For Sm3HoZn8, the PBE geometry in Alexandria gives the simulated powder X-ray diffraction pattern in this record (Cu Kα).

Principal peaks in the range 10° ≤ 2θ ≤ 90°, by angle:
2θ/deg  I_rel
32.4  38
32.5  38
38.3  100
38.4  34
57.9  22
61.8  32

a b c (Å): 9.5204 9.5204 9.5204
angles (deg): 33.70 33.70 33.70
Fractional coordinates of all 12 atoms:
Sm 0.0000 0.0000 0.0000
Sm 0.1248 0.1248 0.1248
Sm 0.4996 0.4996 0.4996
Ho 0.6242 0.6242 0.6242
Zn 0.0600 0.5621 0.5621
Zn 0.0623 0.0623 0.5640
Zn 0.0623 0.5640 0.0623
Zn 0.3122 0.3122 0.3122
Zn 0.5621 0.0600 0.5621
Zn 0.5621 0.5621 0.0600
Zn 0.5640 0.0623 0.0623
Zn 0.8120 0.8120 0.8120

For Sm7Ho12Zr, the PBE geometry in Alexandria gives the simulated powder X-ray diffraction pattern in this record (Cu Kα).

Principal peaks in the range 10° ≤ 2θ ≤ 90°, by angle:
2θ/deg  I_rel
30.1  25
30.3  100
31.1  28
32.2  85
32.6  20
33.4  35

a b c (Å): 8.6572 8.6572 8.6572
angles (deg): 92.99 92.99 92.99
Fractional coordinates of all 20 atoms:
Sm 0.0000 0.0000 0.0000
Sm 0.1348 0.4537 0.3784
Sm 0.3784 0.1348 0.4537
Sm 0.4537 0.3784 0.1348
Sm 0.5463 0.6216 0.8652
Sm 0.6216 0.8652 0.5463
Sm 0.8652 0.5463 0.6216
Ho 0.0426 0.9451 0.3369
Ho 0.0549 0.6631 0.9574
Ho 0.2154 0.3624 0.7596
Ho 0.2404 0.7846 0.6376
Ho 0.3369 0.0426 0.9451
Ho 0.3624 0.7596 0.2154
Ho 0.6376 0.2404 0.7846
Ho 0.6631 0.9574 0.0549
Ho 0.7596 0.2154 0.3624
Ho 0.7846 0.6376 0.2404
Ho 0.9451 0.3369 0.0426
Ho 0.9574 0.0549 0.6631
Zr 0.5000 0.5000 0.5000

For Sm2HoZr, the PBE geometry in Alexandria gives the simulated powder X-ray diffraction pattern in this record (Cu Kα).

Principal peaks in the range 10° ≤ 2θ ≤ 90°, by angle:
2θ/deg  I_rel
31.6  100
36.5  34
36.8  17
52.8  23
62.6  28
63.0  14

a b c (Å): 4.9256 4.9256 4.8834
angles (deg): 90.00 90.00 90.00
Fractional coordinates of all 4 atoms:
Sm 0.0000 0.5000 0.0000
Sm 0.5000 0.0000 0.0000
Ho 0.0000 0.0000 0.5000
Zr 0.5000 0.5000 0.5000

For Sm8Ho5Zr, the PBE geometry in Alexandria gives the simulated powder X-ray diffraction pattern in this record (Cu Kα).

Principal peaks in the range 10° ≤ 2θ ≤ 90°, by angle:
2θ/deg  I_rel
30.3  100
31.6  65
32.1  76
32.7  43
32.8  52
33.4  49

a b c (Å): 8.6714 8.6714 8.5066
angles (deg): 116.21 116.21 56.57
Fractional coordinates of all 14 atoms:
Sm 0.0446 0.5872 0.4335
Sm 0.1215 0.1215 0.1830
Sm 0.2327 0.4161 0.7803
Sm 0.4128 0.9554 0.5665
Sm 0.5346 0.0975 0.0733
Sm 0.5839 0.7673 0.2197
Sm 0.8785 0.8785 0.8170
Sm 0.9025 0.4654 0.9267
Ho 0.2742 0.6261 0.2200
Ho 0.3739 0.7258 0.7800
Ho 0.5251 0.2609 0.5303
Ho 0.7391 0.4749 0.4697
Ho 0.9664 0.0336 0.5000
Zr 0.6481 0.3519 0.0000

For Sm2Ho4Zr, the PBE geometry in Alexandria gives the simulated powder X-ray diffraction pattern in this record (Cu Kα).

Principal peaks in the range 10° ≤ 2θ ≤ 90°, by angle:
2θ/deg  I_rel
29.1  32
31.8  51
32.9  98
33.6  100
51.6  44
61.9  45

a b c (Å): 19.8049 19.8049 19.8049
angles (deg): 10.27 10.27 10.27
Fractional coordinates of all 7 atoms:
Sm 0.0000 0.0000 0.0000
Sm 0.0981 0.0981 0.0981
Ho 0.1959 0.1959 0.1959
Ho 0.2831 0.2831 0.2831
Ho 0.7152 0.7152 0.7152
Ho 0.8138 0.8138 0.8138
Zr 0.9062 0.9062 0.9062

For HoSn6, the PBE geometry in Alexandria gives the simulated powder X-ray diffraction pattern in this record (Cu Kα).

Principal peaks in the range 10° ≤ 2θ ≤ 90°, by angle:
2θ/deg  I_rel
22.0  41
27.0  100
38.6  26
41.8  63
44.9  31
65.3  21

a b c (Å): 6.9970 6.9970 6.9970
angles (deg): 109.47 109.47 109.47
Fractional coordinates of all 7 atoms:
Ho 0.0000 0.0000 0.0000
Sn 0.2500 0.5000 0.7500
Sn 0.2500 0.7500 0.5000
Sn 0.5000 0.2500 0.7500
Sn 0.5000 0.7500 0.2500
Sn 0.7500 0.2500 0.5000
Sn 0.7500 0.5000 0.2500